# U3Co4Ge7
Theoretical powder diffractogram, Cu Kα (λ = 1.5418 Å). Input: a DFT-relaxed cell (PBE, the Materials Project).

Main lines, most intense first (2θ from 10° to 90°):
2θ 36.6, I = 100; 2θ 43.8, I = 48; 2θ 36.9, I = 42; 2θ 23.6, I = 36; 2θ 75.7, I = 25; 2θ 58.5, I = 22; 2θ 30.6, I = 22; 2θ 63.6, I = 16

Cell and atoms:
```
data_U3Co4Ge7
_chemical_formula_sum 'U3 Co4 Ge7'
_space_group_name_H-M_alt 'P 1'
_space_group_IT_number 1
_space_group_name_Hall 'P 1'
_cell_length_a 13.890
_cell_length_b 13.890
_cell_length_c 13.890
_cell_angle_alpha 162.87
_cell_angle_beta 162.87
_cell_angle_gamma 24.32
loop_
_atom_site_label
_atom_site_type_symbol
_atom_site_fract_x
_atom_site_fract_y
_atom_site_fract_z
U1 U 0.000 0.000 0.000
U2 U 0.327 0.327 0.000
U3 U 0.673 0.673 0.000
Co1 Co 0.118 0.118 0.000
Co2 Co 0.250 0.750 0.500
Co3 Co 0.750 0.250 0.500
Co4 Co 0.882 0.882 0.000
Ge1 Ge 0.081 0.581 0.500
Ge2 Ge 0.203 0.203 0.000
Ge3 Ge 0.419 0.919 0.500
Ge4 Ge 0.500 0.500 0.000
Ge5 Ge 0.581 0.081 0.500
Ge6 Ge 0.797 0.797 0.000
Ge7 Ge 0.919 0.419 0.500
```